Record 1
Diffraction record for Ba3TlSn8. The powder XRD pattern is simulated, not measured: it uses a DFT-relaxed cell (PBE, Alexandria) and a wavelength of 1.5418 Å.
Intensities are scaled so that the largest is 1000.

Structural model:
```
data_Ba3TlSn8
_chemical_formula_sum 'Ba3 Tl1 Sn8'
_symmetry_space_group_name_H-M 'P 3 m 1'
_symmetry_Int_Tables_number 156
_symmetry_space_group_name_Hall 'P 3 -2"'
_cell_length_a 6.4998
_cell_length_b 6.4998
_cell_length_c 10.5293
_cell_angle_alpha 90.00
_cell_angle_beta 90.00
_cell_angle_gamma 120.00
loop_
_atom_site_label
_atom_site_fract_x
_atom_site_fract_y
_atom_site_fract_z
Ba1 0.0000 0.0000 0.0000
Ba2 0.0000 0.0000 0.3731
Ba3 0.3333 0.6667 0.8550
Tl1 0.3333 0.6667 0.4891
Sn1 0.0044 0.5022 0.1837
Sn2 0.3198 0.1599 0.6813
Sn3 0.6667 0.3333 0.4468
Sn4 0.6667 0.3333 0.9372
```

Main lines, by intensity (5° ≤ 2θ ≤ 70°):
(1 1 2), 2θ 32.4, d 2.765, I 1000; (2 0 1), 2θ 32.9, d 2.719, I 834; (0 1 3), 2θ 30.0, d 2.978, I 760; (2 0 5), 2θ 54.4, d 1.686, I 343; (1 1 0), 2θ 27.4, d 3.250, I 342; (1 2 3), 2θ 50.1, d 1.819, I 325; (2 2 0), 2θ 56.6, d 1.625, I 317; (3 0 2), 2θ 51.7, d 1.767, I 278; (0 0 4), 2θ 34.1, d 2.632, I 165; (3 1 3), 2θ 65.4, d 1.426, I 164

---

Record 2
Diffraction record for Ba4TlSn. The powder XRD pattern is simulated, not measured: it uses a DFT-relaxed cell (PBE, Alexandria) and a wavelength of 1.5418 Å.
Intensities are scaled so that the largest is 1000.

Structural model:
```
data_Ba4TlSn
_chemical_formula_sum 'Ba64 Tl16 Sn16'
_symmetry_space_group_name_H-M 'F -4 3 m'
_symmetry_Int_Tables_number 216
_symmetry_space_group_name_Hall 'F -4 2 3'
_cell_length_a 16.5800
_cell_length_b 16.5800
_cell_length_c 16.5800
_cell_angle_alpha 90.00
_cell_angle_beta 90.00
_cell_angle_gamma 90.00
loop_
_atom_site_label
_atom_site_fract_x
_atom_site_fract_y
_atom_site_fract_z
Ba1 0.0000 0.0000 0.1923
Ba2 0.0459 0.2500 0.7500
Ba3 0.1023 0.1023 0.3977
Tl1 0.1727 0.1727 0.1727
Sn1 0.1116 0.1116 0.6116
```

Main lines, by intensity (5° ≤ 2θ ≤ 70°):
(3 3 3), 2θ 28.0, d 3.191, I 1000; (4 2 2), 2θ 26.3, d 3.384, I 457; (4 4 0), 2θ 30.5, d 2.931, I 429; (6 6 0), 2θ 46.5, d 1.954, I 404; (9 3 3), 2θ 55.1, d 1.666, I 222; (5 5 5), 2θ 47.5, d 1.914, I 193; (1 1 1), 2θ 9.2, d 9.572, I 159; (5 3 1), 2θ 31.9, d 2.803, I 142; (10 6 4), 2θ 70.0, d 1.345, I 125; (7 7 3), 2θ 57.5, d 1.603, I 109

---

Record 3
Diffraction record for BaTl4Sn. The powder XRD pattern is simulated, not measured: it uses a DFT-relaxed cell (PBE, Alexandria) and a wavelength of 1.5418 Å.
Intensities are scaled so that the largest is 1000.

Structural model:
```
data_BaTl4Sn
_chemical_formula_sum 'Ba4 Tl16 Sn4'
_symmetry_space_group_name_H-M 'C 1 2/m 1'
_symmetry_Int_Tables_number 12
_symmetry_space_group_name_Hall '-C 2y'
_cell_length_a 8.2589
_cell_length_b 21.4732
_cell_length_c 5.9196
_cell_angle_alpha 90.00
_cell_angle_beta 131.77
_cell_angle_gamma 90.00
loop_
_atom_site_label
_atom_site_fract_x
_atom_site_fract_y
_atom_site_fract_z
Ba1 0.2367 0.0000 0.4822
Tl1 0.2130 0.3992 0.9703
Tl2 0.2228 0.1734 0.4707
Sn1 0.2500 0.2500 0.0000
```

Main lines, by intensity (5° ≤ 2θ ≤ 70°):
(0 6 1), 2θ 32.2, d 2.781, I 1000; (2 6 -1), 2θ 33.1, d 2.703, I 871; (2 0 -2), 2θ 30.3, d 2.953, I 702; (2 0 0), 2θ 29.0, d 3.080, I 677; (0 0 2), 2θ 40.9, d 2.208, I 278; (2 6 -3), 2θ 54.4, d 1.687, I 220; (4 0 -2), 2θ 43.9, d 2.063, I 217; (4 6 -3), 2θ 56.2, d 1.636, I 195; (2 6 1), 2θ 52.8, d 1.734, I 187; (4 6 -1), 2θ 54.7, d 1.678, I 164

---

Record 4
Diffraction record for Ba2TlSn5. The powder XRD pattern is simulated, not measured: it uses a DFT-relaxed cell (PBE, Alexandria) and a wavelength of 1.5418 Å.
Intensities are scaled so that the largest is 1000.

Structural model:
```
data_Ba2TlSn5
_chemical_formula_sum 'Ba4 Tl2 Sn10'
_symmetry_space_group_name_H-M 'I 4 m m'
_symmetry_Int_Tables_number 107
_symmetry_space_group_name_Hall 'I 4 -2'
_cell_length_a 6.8496
_cell_length_b 6.8496
_cell_length_c 11.3577
_cell_angle_alpha 90.00
_cell_angle_beta 90.00
_cell_angle_gamma 90.00
loop_
_atom_site_label
_atom_site_fract_x
_atom_site_fract_y
_atom_site_fract_z
Ba1 0.0000 0.5000 0.0000
Tl1 0.0000 0.0000 0.0851
Sn1 0.0000 0.0000 0.3958
Sn2 0.2243 0.2243 0.7493
```

Main lines, by intensity (5° ≤ 2θ ≤ 70°):
(2 0 2), 2θ 30.5, d 2.933, I 1000; (2 2 0), 2θ 37.1, d 2.422, I 425; (1 0 3), 2θ 26.9, d 3.313, I 287; (4 2 2), 2θ 62.8, d 1.479, I 208; (2 1 1), 2θ 30.2, d 2.958, I 190; (1 1 4), 2θ 36.7, d 2.450, I 189; (3 1 4), 2θ 53.2, d 1.722, I 159; (3 2 3), 2θ 54.0, d 1.698, I 158; (4 0 0), 2θ 53.5, d 1.712, I 136; (2 0 4), 2θ 41.3, d 2.186, I 113